# 1
Structure and simulated powder X-ray diffraction pattern of RbHgSb2Pb4 (a crystal structure in Alexandria, relaxed with PBE; Cu Kα, 1.54184 Å).
Intensities are scaled so that the largest is 100.

Largest 10 diffraction maxima, sorted by position, 10° ≤ 2θ ≤ 80°:
Position (°2θ)	intensity
18.9	20
24.0	31
25.5	35
29.5	46
34.2	68
35.3	100
49.2	26
52.4	21
62.0	37
64.1	23

Cell and atoms:
```
data_RbHgSb2Pb4
_space_group_name_H-M_alt 'P 4/m m m'
_space_group_IT_number 123
_space_group_name_Hall '-P 4 2'
_cell_length_a 5.2366
_cell_length_b 5.2366
_cell_length_c 10.4741
_cell_angle_alpha 90.00
_cell_angle_beta 90.00
_cell_angle_gamma 90.00
loop_
_atom_site_label
_atom_site_fract_x
_atom_site_fract_y
_atom_site_fract_z
_atom_site_occupancy
Rb1 0.0000 0.0000 0.0000 1
Hg1 0.0000 0.0000 0.5000 1
Sb1 0.5000 0.5000 0.1516 1
Pb1 0.0000 0.5000 0.3286 1
```

# 2
Structure and simulated powder X-ray diffraction pattern of Rb2Sn4Hg3Pb (a crystal structure in Alexandria, relaxed with PBE; Cu Kα, 1.54184 Å).
Intensities are scaled so that the largest is 100.

Largest 10 diffraction maxima, sorted by position, 10° ≤ 2θ ≤ 80°:
Position (°2θ)	intensity
14.1	25
18.8	31
27.6	41
28.6	100
35.3	78
38.1	82
40.1	28
50.7	28
59.3	27
65.1	31

Cell and atoms:
```
data_Rb2Sn4Hg3Pb
_space_group_name_H-M_alt 'P -4 m 2'
_space_group_IT_number 115
_cell_length_a 5.0909
_cell_length_b 5.0909
_cell_length_c 12.5415
_cell_angle_alpha 90.00
_cell_angle_beta 90.00
_cell_angle_gamma 90.00
loop_
_space_group_symop_operation_xyz
'x,y,z'
'y,-x,-z'
'-x,-y,z'
'-y,x,-z'
'-x,y,z'
'-y,-x,-z'
'x,-y,z'
'y,x,-z'
loop_
_atom_site_label
_atom_site_fract_x
_atom_site_fract_y
_atom_site_fract_z
_atom_site_occupancy
Rb1 0.0000 0.5000 0.2476 1
Sn1 0.0000 0.0000 0.0000 1
Sn2 0.0000 0.5000 0.6368 1
Sn3 0.5000 0.5000 0.0000 1
Hg1 0.0000 0.5000 0.8676 1
Hg2 0.5000 0.5000 0.5000 1
Pb1 0.0000 0.0000 0.5000 1
```

# 3
Structure and simulated powder X-ray diffraction pattern of RbHgTe2Pb (a crystal structure in Alexandria, relaxed with PBE; Cu Kα, 1.54184 Å).
Intensities are scaled so that the largest is 100.

Largest 10 diffraction maxima, sorted by position, 10° ≤ 2θ ≤ 80°:
Position (°2θ)	intensity
11.1	74
28.4	100
28.9	43
30.8	41
31.3	39
33.7	26
34.5	50
36.4	32
37.2	30
45.5	27

Cell and atoms:
```
data_RbHgTe2Pb
_space_group_name_H-M_alt 'P 1 2/c 1'
_space_group_IT_number 13
_cell_length_a 8.6209
_cell_length_b 6.8405
_cell_length_c 6.9141
_cell_angle_alpha 90.00
_cell_angle_beta 112.15
_cell_angle_gamma 90.00
loop_
_space_group_symop_operation_xyz
'x,y,z'
'-x,-y,-z'
'-x,y,-z+1/2'
'x,-y,z+1/2'
loop_
_atom_site_label
_atom_site_fract_x
_atom_site_fract_y
_atom_site_fract_z
_atom_site_occupancy
Rb1 0.0000 0.2283 0.2500 1
Hg1 0.5000 0.0000 0.0000 1
Te1 0.2027 0.2713 0.8480 1
Pb1 0.5000 0.4907 0.2500 1
```

# 4
Structure and simulated powder X-ray diffraction pattern of HgPb3S4 (a crystal structure in Alexandria, relaxed with PBE; Cu Kα, 1.54184 Å).
Intensities are scaled so that the largest is 100.

Largest 10 diffraction maxima, sorted by position, 10° ≤ 2θ ≤ 80°:
Position (°2θ)	intensity
22.9	74
24.3	92
27.2	100
29.4	66
36.1	53
37.6	41
42.1	28
47.2	49
49.2	38
73.0	25

Cell and atoms:
```
data_HgPb3S4
_space_group_name_H-M_alt 'P m n 21'
_space_group_IT_number 31
_cell_length_a 8.5834
_cell_length_b 9.1556
_cell_length_c 6.0728
_cell_angle_alpha 90.00
_cell_angle_beta 90.00
_cell_angle_gamma 90.00
loop_
_space_group_symop_operation_xyz
'x,y,z'
'-x+1/2,-y,z+1/2'
'-x,y,z'
'x+1/2,-y,z+1/2'
loop_
_atom_site_label
_atom_site_fract_x
_atom_site_fract_y
_atom_site_fract_z
_atom_site_occupancy
Hg1 0.0000 0.1859 0.0000 1
Pb1 0.0000 0.8845 0.4812 1
Pb2 0.2219 0.6549 0.9856 1
S1 0.0000 0.2138 0.4580 1
S2 0.0000 0.9053 0.9553 1
S3 0.2389 0.6718 0.4564 1
```

# 5
Structure and simulated powder X-ray diffraction pattern of HgSbPb2S5 (a crystal structure in Alexandria, relaxed with PBE; Cu Kα, 1.54184 Å).
Intensities are scaled so that the largest is 100.

Largest 10 diffraction maxima, sorted by position, 10° ≤ 2θ ≤ 80°:
Position (°2θ)	intensity
22.8	100
26.7	88
27.9	60
30.9	51
31.3	44
35.9	33
36.8	30
44.3	29
45.5	28
47.7	34

Cell and atoms:
```
data_HgSbPb2S5
_space_group_name_H-M_alt 'C m c 21'
_space_group_IT_number 36
_cell_length_a 3.9850
_cell_length_b 17.5514
_cell_length_c 13.0498
_cell_angle_alpha 90.00
_cell_angle_beta 90.00
_cell_angle_gamma 90.00
loop_
_space_group_symop_operation_xyz
'x,y,z'
'-x,-y,z+1/2'
'-x,y,z'
'x,-y,z+1/2'
'x+1/2,y+1/2,z'
'-x+1/2,-y+1/2,z+1/2'
'-x+1/2,y+1/2,z'
'x+1/2,-y+1/2,z+1/2'
loop_
_atom_site_label
_atom_site_fract_x
_atom_site_fract_y
_atom_site_fract_z
_atom_site_occupancy
Hg1 0.0000 0.0533 0.0000 1
Sb1 0.0000 0.2720 0.5811 1
Pb1 0.0000 0.3766 0.8438 1
Pb2 0.0000 0.4070 0.2054 1
S1 0.0000 0.0047 0.3291 1
S2 0.0000 0.1279 0.5528 1
S3 0.0000 0.2115 0.9490 1
S4 0.0000 0.2359 0.2250 1
S5 0.0000 0.4297 0.6222 1
```

# 6
Structure and simulated powder X-ray diffraction pattern of Hg5Sb4Pb4 (a crystal structure in Alexandria, relaxed with PBE; Cu Kα, 1.54184 Å).
Intensities are scaled so that the largest is 100.

Largest 10 diffraction maxima, sorted by position, 10° ≤ 2θ ≤ 80°:
Position (°2θ)	intensity
27.9	40
28.2	34
29.1	45
30.0	57
30.7	64
30.8	100
31.8	43
32.6	32
35.1	46
38.1	33

Cell and atoms:
```
data_Hg5Sb4Pb4
_space_group_name_H-M_alt 'P -1'
_space_group_IT_number 2
_cell_length_a 4.8363
_cell_length_b 8.0711
_cell_length_c 11.3086
_cell_angle_alpha 103.81
_cell_angle_beta 99.11
_cell_angle_gamma 96.59
loop_
_space_group_symop_operation_xyz
'x,y,z'
'-x,-y,-z'
loop_
_atom_site_label
_atom_site_fract_x
_atom_site_fract_y
_atom_site_fract_z
_atom_site_occupancy
Hg1 0.0000 0.0000 0.0000 1
Hg2 0.2574 0.6890 0.0665 1
Hg3 0.3480 0.9651 0.7870 1
Sb1 0.2390 0.4688 0.8068 1
Sb2 0.3336 0.2974 0.5452 1
Pb1 0.1720 0.8929 0.3696 1
Pb2 0.2407 0.3314 0.2693 1
```